Ce5ScIr5: calculated powder XRD pattern (Cu Kα, 1.54184 Å), based on a structure optimized by DFT (PBE).

Most intense lines, 15° ≤ 2θ ≤ 90°, low angle first:
- 31.61 deg, I 68.1, (4 0 -2)
- 31.74 deg, I 68.3, (2 0 2)
- 31.95 deg, I 68.2, (0 2 0)
- 44.92 deg, I 26.3, (2 0 -4)
- 45.61 deg, I 100.0, (2 2 2)
- 45.88 deg, I 25.0, (6 0 0)
- 56.18 deg, I 27.2, (2 2 -4)
- 57.00 deg, I 25.0, (6 2 0)
- 75.82 deg, I 27.8, (2 4 2)
- 84.83 deg, I 15.5, (6 4 0)

Structure:
Lattice parameters (Å, degrees): 12.5499 5.6017 8.0715 90.00 108.98 90.00
Space group C2/m (No. 12)
Unique sites:
Ce 0.0000 0.0000 0.0000
Ce 0.1683 0.5000 0.3413
Ce 0.1759 0.5000 0.8285
Sc 0.0000 0.0000 0.5000
Ir 0.0000 0.5000 0.5000
Ir 0.1541 0.0000 0.3281
Ir 0.1622 0.0000 0.8297